1.
The following is a calculated powder diffraction line list of Rb6Ge2O7. It was derived from a DFT-relaxed cell (GGA-PBE, the Materials Project), using Cu Kα.

Structural model:
```
data_Rb6Ge2O7
_cell_length_a 6.9371
_cell_length_b 9.5656
_cell_length_c 11.7498
_cell_angle_alpha 90.00
_cell_angle_beta 124.59
_cell_angle_gamma 90.00
_symmetry_space_group_name_H-M 'P 1 21/c 1'
_symmetry_Int_Tables_number 14
loop_
_symmetry_equiv_pos_as_xyz
'x,y,z'
'-x,-y,-z'
'-x,y+1/2,-z+1/2'
'x,-y+1/2,z+1/2'
loop_
_atom_site_label
_atom_site_type_symbol
_atom_site_fract_x
_atom_site_fract_y
_atom_site_fract_z
_atom_site_occupancy
Rb1 Rb 0.0389 0.1469 0.4186 1
Rb2 Rb 0.2087 0.5269 0.4570 1
Rb3 Rb 0.3989 0.2136 0.2786 1
Ge1 Ge 0.3214 0.6387 0.8721 1
O1 O 0.0678 0.6606 0.8732 1
O2 O 0.2548 0.5838 0.7094 1
O3 O 0.4931 0.2121 0.0649 1
O4 O 0.5000 0.0000 0.5000 1
```

Peak list (8 most intense, 10° ≤ 2θ ≤ 90°, by angle)
(hkl)  two_theta  I/Imax
0 2 2  26.2  30.9
2 1 -2  27.4  47.9
2 1 -1  28.7  35.2
0 3 1  29.5  100.0
1 0 2  30.2  46.4
2 0 -4  32.2  32.8
1 1 -4  32.3  50.3
1 3 1  36.0  34.8

2.
The following is a calculated powder diffraction line list of Li2MgAu. It was derived from a DFT-relaxed cell (GGA-PBE, the Materials Project), using Cu Kα.

Structural model:
```
data_Li2MgAu
_cell_length_a 6.4768
_cell_length_b 6.4768
_cell_length_c 6.4768
_cell_angle_alpha 90.00
_cell_angle_beta 90.00
_cell_angle_gamma 90.00
_symmetry_space_group_name_H-M 'F -4 3 m'
_symmetry_Int_Tables_number 216
_symmetry_space_group_name_Hall 'F -4 2 3'
loop_
_atom_site_label
_atom_site_type_symbol
_atom_site_fract_x
_atom_site_fract_y
_atom_site_fract_z
_atom_site_occupancy
Li1 Li 0.0000 0.0000 0.0000 1
Li2 Li 0.2500 0.2500 0.2500 1
Mg1 Mg 0.0000 0.0000 0.5000 1
Au1 Au 0.2500 0.2500 0.7500 1
```

Peak list (8 most intense, 10° ≤ 2θ ≤ 90°, by angle)
(hkl)  two_theta  I/Imax
1 1 1  23.8  100.0
2 0 0  27.5  41.3
2 2 0  39.3  60.7
3 1 1  46.5  52.3
3 3 1  62.5  21.8
4 2 2  71.3  21.3
5 1 1  76.4  16.6
5 3 1  89.5  17.9